[1]
Diffraction record for Ac2ZrOs2N6. The powder XRD pattern is theoretical, not measured: it uses a structure optimized by DFT (GGA-PBE) and copper Kα.
Peak positions follow from Bragg's law for the DFT cell and can differ from measured ones.

```
11
Lattice="2.886 1.666 6.063 -2.886 1.666 6.063 0.000 -3.332 6.063" Properties=species:S:1:pos:R:3 pbc="T T T"
Ac 0.000 0.000 3.866
Ac 0.000 0.000 14.322
Zr 0.000 0.000 0.000
Os 0.000 0.000 7.145
Os 0.000 0.000 11.043
N -1.508 -0.871 10.480
N 0.000 -1.741 7.708
N -1.508 0.871 7.708
N 1.508 -0.871 10.480
N 0.000 1.741 10.480
N 1.508 0.871 7.708
```

Largest 10 diffraction maxima, by intensity, 10° ≤ 2θ ≤ 90°:
d (Å)  I (rel.)
2.886  100
2.941  99
1.677  40
2.060  39
1.666  20
1.295  17
1.709  16
1.443  15
1.310  13
4.380  12

=====

[2]
Diffraction record for AcP4N8. The powder XRD pattern is theoretical, not measured: it uses a structure optimized by DFT (GGA-PBE) and copper Kα.
Peak positions follow from Bragg's law for the DFT cell and can differ from measured ones.

```
13
Lattice="5.073 0.000 0.000 -2.537 4.394 0.000 0.000 0.000 8.238" Properties=species:S:1:pos:R:3 pbc="T T T"
Ac 0.000 0.000 0.000
P 0.000 2.929 1.650
P 0.000 2.929 6.589
P 2.537 1.465 1.650
P 2.537 1.465 6.589
N -0.998 1.728 6.142
N -1.539 2.666 2.096
N 0.000 2.929 0.000
N 1.995 0.000 6.142
N 0.998 1.728 2.096
N 3.078 0.000 2.096
N 1.539 2.666 6.142
N 2.537 1.465 0.000
```

Largest 10 diffraction maxima, by intensity, 10° ≤ 2θ ≤ 90°:
d (Å)  I (rel.)
8.238  100
3.005  50
3.877  43
2.424  32
2.537  24
2.329  22
1.540  13
4.394  12
1.864  10
1.421  10

=====

[3]
Diffraction record for Ac3P2N8. The powder XRD pattern is theoretical, not measured: it uses a structure optimized by DFT (GGA-PBE) and copper Kα.
Peak positions follow from Bragg's law for the DFT cell and can differ from measured ones.

```
13
Lattice="2.855 1.648 6.815 -2.855 1.648 6.815 0.000 -3.296 6.815" Properties=species:S:1:pos:R:3 pbc="T T T"
Ac 0.000 0.000 0.000
Ac 0.000 0.000 4.209
Ac 0.000 0.000 16.235
P 0.000 0.000 8.445
P 0.000 0.000 11.999
N -1.357 -0.784 11.555
N 0.000 -1.567 8.889
N -1.357 0.784 8.889
N 0.000 0.000 6.798
N 0.000 0.000 13.646
N 1.357 -0.784 11.555
N 0.000 1.567 11.555
N 1.357 0.784 8.889
```

Largest 10 diffraction maxima, by intensity, 10° ≤ 2θ ≤ 90°:
d (Å)  I (rel.)
3.151  100
2.855  86
2.116  39
4.806  39
1.700  34
3.554  33
1.889  25
1.777  19
1.648  17
1.379  17

=====

[4]
Diffraction record for AcP3N6. The powder XRD pattern is theoretical, not measured: it uses a structure optimized by DFT (GGA-PBE) and copper Kα.
Peak positions follow from Bragg's law for the DFT cell and can differ from measured ones.

```
20
Lattice="-3.491 4.763 4.414 3.491 -4.763 4.414 3.491 4.763 -4.414" Properties=species:S:1:pos:R:3 pbc="T T T"
Ac 0.000 0.000 2.207
Ac 0.000 0.000 6.621
P 4.258 1.739 0.000
P 3.491 0.000 2.207
P 0.767 3.025 0.000
P 2.724 1.739 4.414
P 0.000 4.763 2.207
P -0.767 3.025 4.414
N 2.445 -0.888 1.330
N 0.351 1.548 0.000
N 4.538 0.888 1.330
N 4.538 -0.888 3.084
N 3.842 3.215 0.000
N 2.445 0.888 3.084
N 1.046 3.875 1.330
N -0.351 1.548 4.414
N -1.046 5.652 1.330
N -1.046 3.875 3.084
N 3.140 3.215 4.414
N 1.046 5.652 3.084
```

Largest 10 diffraction maxima, by intensity, 10° ≤ 2θ ≤ 90°:
d (Å)  I (rel.)
3.238  100
3.474  81
5.632  81
2.374  62
4.763  61
3.491  45
2.816  36
2.891  34
4.414  33
2.738  29

=====

What did the second record say?
Diffraction record for AcP4N8. The powder XRD pattern is theoretical, not measured: it uses a structure optimized by DFT (GGA-PBE) and copper Kα.
Peak positions follow from Bragg's law for the DFT cell and can differ from measured ones.

```
13
Lattice="5.073 0.000 0.000 -2.537 4.394 0.000 0.000 0.000 8.238" Properties=species:S:1:pos:R:3 pbc="T T T"
Ac 0.000 0.000 0.000
P 0.000 2.929 1.650
P 0.000 2.929 6.589
P 2.537 1.465 1.650
P 2.537 1.465 6.589
N -0.998 1.728 6.142
N -1.539 2.666 2.096
N 0.000 2.929 0.000
N 1.995 0.000 6.142
N 0.998 1.728 2.096
N 3.078 0.000 2.096
N 1.539 2.666 6.142
N 2.537 1.465 0.000
```

Largest 10 diffraction maxima, by intensity, 10° ≤ 2θ ≤ 90°:
d (Å)  I (rel.)
8.238  100
3.005  50
3.877  43
2.424  32
2.537  24
2.329  22
1.540  13
4.394  12
1.864  10
1.421  10